# ScBiS2
Computed powder diffractogram, CuKα. Input: DFT lattice parameters and positions (PBE).
No peak broadening, texture or thermal motion is included.

Top 10 peaks for 15° ≤ 2θ ≤ 90°, in order of rising 2θ:
h k l	2θ (°)	d/Å	I (rel.)
0 0 2	21.40	4.153	32
1 0 0	28.05	3.181	45
1 0 1	30.09	2.970	100
0 1 2	35.55	2.525	41
0 1 3	43.33	2.088	45
1 1 0	49.64	1.836	23
1 0 4	52.64	1.739	17
1 1 2	54.65	1.679	17
0 2 1	59.15	1.562	15
1 1 3	60.50	1.530	14

Atomic structure:
```
ScBiS2
1.0
3.6728 0.0000 0.0000
-1.8364 3.1807 0.0000
0.0000 0.0000 8.3050
Sc Bi S
1 1 2
Cartesian
0.0000 0.0000 0.0000
0.0000 2.1205 4.1757
0.0000 2.1205 6.8040
1.8364 1.0602 1.3964
```